[1]
Ac12ZnSn7: calculated X-ray diffraction stick pattern (copper Kα), based on a structure optimized by DFT (PBE).

Main lines, sorted by position (10 to 80 degrees two-theta):
3.666 Å, 2θ = 24.28°, rel. 30, hkl 1 2 2; 3.260 Å, 2θ = 27.36°, rel. 77, hkl 4 0 1; 3.164 Å, 2θ = 28.21°, rel. 72, hkl 1 1 3; 3.069 Å, 2θ = 29.10°, rel. 47, hkl 3 1 2; 3.015 Å, 2θ = 29.62°, rel. 54, hkl 5 -2 1; 2.998 Å, 2θ = 29.80°, rel. 100, hkl 4 1 0; 2.862 Å, 2θ = 31.25°, rel. 56, hkl 0 4 2; 2.756 Å, 2θ = 32.49°, rel. 39, hkl 3 0 3; 2.000 Å, 2θ = 45.34°, rel. 33, hkl 5 -2 4; 1.929 Å, 2θ = 47.12°, rel. 42, hkl 3 5 1

Atomic structure:
```
data_Ac12ZnSn7
_chemical_formula_sum 'Ac36 Zn3 Sn21'
_cell_length_a 15.8659
_cell_length_b 15.8659
_cell_length_c 10.3501
_cell_angle_alpha 90.00
_cell_angle_beta 90.00
_cell_angle_gamma 120.00
_symmetry_space_group_name_H-M 'R -3'
_symmetry_Int_Tables_number 148
_symmetry_space_group_name_Hall '-R 3'
loop_
_atom_site_label
_atom_site_type_symbol
_atom_site_fract_x
_atom_site_fract_y
_atom_site_fract_z
_atom_site_occupancy
Ac1 Ac 0.0374 0.7838 0.0754 1
Ac2 Ac 0.0390 0.8697 0.6968 1
Zn1 Zn 0.0000 0.0000 0.5000 1
Sn1 Sn 0.0000 0.0000 0.0000 1
Sn2 Sn 0.0569 0.5870 0.0758 1
```

[2]
Sr2Ac3: calculated X-ray diffraction stick pattern (copper Kα), based on a structure optimized by DFT (PBE).

Main lines, sorted by position (10 to 80 degrees two-theta):
3.366 Å, 2θ = 26.48°, rel. 33, hkl 0 0 15; 3.324 Å, 2θ = 26.82°, rel. 100, hkl 0 1 5; 2.888 Å, 2θ = 30.97°, rel. 68, hkl 1 0 10; 2.052 Å, 2θ = 44.14°, rel. 24, hkl 0 1 20; 2.033 Å, 2θ = 44.58°, rel. 26, hkl 1 1 0; 1.752 Å, 2θ = 52.22°, rel. 14, hkl 1 0 25; 1.740 Å, 2θ = 52.60°, rel. 31, hkl 1 1 15; 1.734 Å, 2θ = 52.79°, rel. 16, hkl 2 0 5; 1.662 Å, 2θ = 55.27°, rel. 14, hkl 0 2 10; 1.319 Å, 2θ = 71.52°, rel. 13, hkl 1 2 5

Atomic structure:
```
data_Sr2Ac3
_chemical_formula_sum 'Sr6 Ac9'
_cell_length_a 4.0650
_cell_length_b 4.0650
_cell_length_c 50.4924
_cell_angle_alpha 90.00
_cell_angle_beta 90.00
_cell_angle_gamma 120.00
_symmetry_space_group_name_H-M 'R -3 m'
_symmetry_Int_Tables_number 166
_symmetry_space_group_name_Hall '-R 3 2"'
loop_
_atom_site_label
_atom_site_type_symbol
_atom_site_fract_x
_atom_site_fract_y
_atom_site_fract_z
_atom_site_occupancy
Sr1 Sr 0.0000 0.0000 0.2019 1
Ac1 Ac 0.0000 0.0000 0.0000 1
Ac2 Ac 0.0000 0.0000 0.3967 1
```

[3]
SrAc3: calculated X-ray diffraction stick pattern (copper Kα), based on a structure optimized by DFT (PBE).

Main lines, sorted by position (10 to 80 degrees two-theta):
5.110 Å, 2θ = 17.35°, rel. 9, hkl 1 0 1; 3.293 Å, 2θ = 27.07°, rel. 100, hkl 1 1 2; 2.864 Å, 2θ = 31.24°, rel. 35, hkl 2 0 0; 2.830 Å, 2θ = 31.62°, rel. 17, hkl 0 0 4; 2.025 Å, 2θ = 44.76°, rel. 13, hkl 2 2 0; 2.013 Å, 2θ = 45.04°, rel. 26, hkl 2 0 4; 1.725 Å, 2θ = 53.09°, rel. 32, hkl 3 1 2; 1.710 Å, 2θ = 53.59°, rel. 16, hkl 1 1 6; 1.647 Å, 2θ = 55.83°, rel. 14, hkl 2 2 4; 1.306 Å, 2θ = 72.32°, rel. 13, hkl 3 1 6

Atomic structure:
```
data_SrAc3
_chemical_formula_sum 'Sr2 Ac6'
_cell_length_a 5.727
_cell_length_b 5.727
_cell_length_c 11.319
_cell_angle_alpha 90.00
_cell_angle_beta 90.00
_cell_angle_gamma 90.00
_symmetry_space_group_name_H-M 'I 4/m m m'
_symmetry_Int_Tables_number 139
_symmetry_space_group_name_Hall '-I 4 2'
loop_
_atom_site_label
_atom_site_type_symbol
_atom_site_fract_x
_atom_site_fract_y
_atom_site_fract_z
_atom_site_occupancy
Sr1 Sr 0.000 0.000 0.000 1
Ac1 Ac 0.000 0.000 0.500 1
Ac2 Ac 0.000 0.500 0.250 1
```

[4]
Sr3AcTe4: calculated X-ray diffraction stick pattern (copper Kα), based on a structure optimized by DFT (PBE).

Main lines, sorted by position (10 to 80 degrees two-theta):
7.742 Å, 2θ = 11.43°, rel. 7, hkl 1 1 0; 3.349 Å, 2θ = 26.62°, rel. 100, hkl 2 0 1; 2.369 Å, 2θ = 37.99°, rel. 65, hkl 4 0 0; 2.364 Å, 2θ = 38.07°, rel. 13, hkl 0 0 2; 1.935 Å, 2θ = 46.95°, rel. 14, hkl 4 4 0; 1.931 Å, 2θ = 47.06°, rel. 14, hkl 0 4 2; 1.674 Å, 2θ = 54.83°, rel. 13, hkl 4 0 2; 1.498 Å, 2θ = 61.95°, rel. 31, hkl 6 0 1; 1.368 Å, 2θ = 68.58°, rel. 14, hkl 6 4 1; 1.366 Å, 2θ = 68.73°, rel. 14, hkl 2 4 3

Atomic structure:
```
data_Sr3AcTe4
_chemical_formula_sum 'Sr6 Ac2 Te8'
_cell_length_a 9.486
_cell_length_b 13.397
_cell_length_c 4.727
_cell_angle_alpha 90.00
_cell_angle_beta 90.00
_cell_angle_gamma 90.00
_symmetry_space_group_name_H-M 'C m m m'
_symmetry_Int_Tables_number 65
_symmetry_space_group_name_Hall '-C 2 2'
loop_
_atom_site_label
_atom_site_type_symbol
_atom_site_fract_x
_atom_site_fract_y
_atom_site_fract_z
_atom_site_occupancy
Sr1 Sr 0.000 0.000 0.000 1
Sr2 Sr 0.250 0.250 0.500 1
Ac1 Ac 0.000 0.500 0.000 1
Te1 Te 0.000 0.250 0.000 1
Te2 Te 0.249 0.000 0.500 1
```

[5]
SrAc3Te6: calculated X-ray diffraction stick pattern (copper Kα), based on a structure optimized by DFT (PBE).

Main lines, sorted by position (10 to 80 degrees two-theta):
6.416 Å, 2θ = 13.80°, rel. 32, hkl 2 0 -1; 4.356 Å, 2θ = 20.39°, rel. 28, hkl 3 0 -1; 4.106 Å, 2θ = 21.64°, rel. 69, hkl 1 1 1; 3.494 Å, 2θ = 25.49°, rel. 63, hkl 2 1 1; 3.350 Å, 2θ = 26.61°, rel. 44, hkl 2 0 -4; 3.242 Å, 2θ = 27.51°, rel. 29, hkl 0 1 3; 3.144 Å, 2θ = 28.39°, rel. 63, hkl 3 1 0; 2.536 Å, 2θ = 35.39°, rel. 100, hkl 4 1 -3; 2.390 Å, 2θ = 37.64°, rel. 64, hkl 0 2 0; 2.342 Å, 2θ = 38.44°, rel. 34, hkl 5 0 1

Atomic structure:
```
data_SrAc3Te6
_chemical_formula_sum 'Sr2 Ac6 Te12'
_cell_length_a 13.071
_cell_length_b 4.780
_cell_length_c 13.821
_cell_angle_alpha 90.00
_cell_angle_beta 106.69
_cell_angle_gamma 90.00
_symmetry_space_group_name_H-M 'P 1 21/m 1'
_symmetry_Int_Tables_number 11
_symmetry_space_group_name_Hall '-P 2yb'
loop_
_atom_site_label
_atom_site_type_symbol
_atom_site_fract_x
_atom_site_fract_y
_atom_site_fract_z
_atom_site_occupancy
Sr1 Sr 0.044 0.250 0.193 1
Ac1 Ac 0.158 0.250 0.585 1
Ac2 Ac 0.313 0.750 0.998 1
Ac3 Ac 0.427 0.250 0.331 1
Te1 Te 0.093 0.750 0.408 1
Te2 Te 0.112 0.250 0.956 1
Te3 Te 0.196 0.750 0.753 1
Te4 Te 0.250 0.750 0.224 1
Te5 Te 0.402 0.250 0.565 1
Te6 Te 0.480 0.250 0.114 1
```

[6]
SrAcTe3: calculated X-ray diffraction stick pattern (copper Kα), based on a structure optimized by DFT (PBE).

Main lines, sorted by position (10 to 80 degrees two-theta):
4.285 Å, 2θ = 20.73°, rel. 23, hkl 0 1 2; 3.673 Å, 2θ = 24.23°, rel. 78, hkl 1 0 2; 3.274 Å, 2θ = 27.24°, rel. 27, hkl 0 2 1; 2.941 Å, 2θ = 30.39°, rel. 46, hkl 1 0 3; 2.909 Å, 2θ = 30.74°, rel. 18, hkl 0 2 2; 2.730 Å, 2θ = 32.81°, rel. 100, hkl 1 2 1; 2.703 Å, 2θ = 33.14°, rel. 25, hkl 1 1 3; 2.503 Å, 2θ = 35.88°, rel. 23, hkl 0 2 3; 2.472 Å, 2θ = 36.34°, rel. 37, hkl 2 0 0; 1.759 Å, 2θ = 52.00°, rel. 17, hkl 2 2 3

Atomic structure:
```
data_SrAcTe3
_chemical_formula_sum 'Sr2 Ac2 Te6'
_cell_length_a 4.945
_cell_length_b 6.861
_cell_length_c 10.975
_cell_angle_alpha 90.00
_cell_angle_beta 90.00
_cell_angle_gamma 90.00
_symmetry_space_group_name_H-M 'P m m n'
_symmetry_Int_Tables_number 59
loop_
_symmetry_equiv_pos_as_xyz
'x,y,z'
'-x,-y,-z'
'-x+1/2,-y+1/2,z'
'x+1/2,y+1/2,-z'
'x+1/2,-y,-z'
'-x+1/2,y,z'
'-x,y+1/2,-z'
'x,-y+1/2,z'
loop_
_atom_site_label
_atom_site_type_symbol
_atom_site_fract_x
_atom_site_fract_y
_atom_site_fract_z
_atom_site_occupancy
Sr1 Sr 0.250 0.250 0.087 1
Ac1 Ac 0.250 0.750 0.366 1
Te1 Te 0.250 0.016 0.814 1
Te2 Te 0.250 0.250 0.433 1
```